Record 1
Structure and calculated PXRD pattern of Ta2InRe2Se8 (a PBE-relaxed structure; Cu Kα X-rays).
No peak broadening, texture or thermal motion is included.

Top 10 peaks for 10 to 90 degrees two-theta, by angle:
2θ = 12.4°, I = 1000; 2θ = 15.6°, I = 520; 2θ = 29.8°, I = 381; 2θ = 30.5°, I = 423; 2θ = 32.4°, I = 400; 2θ = 33.8°, I = 764; 2θ = 37.3°, I = 363; 2θ = 41.5°, I = 988; 2θ = 51.7°, I = 343; 2θ = 52.9°, I = 617

Atomic structure:
```
Ta2InRe2Se8
1.0
3.4590 0.0000 0.0000
-1.7295 2.9956 0.0000
0.0000 0.0000 28.4700
Ta In Re Se
2 1 2 8
Cartesian
0.0000 0.0000 0.0000
0.0000 0.0000 12.8768
0.0000 0.0000 17.1403
0.0000 0.0000 6.4548
0.0000 0.0000 22.0746
0.0000 1.9970 4.8944
0.0000 1.9970 8.0145
0.0000 1.9970 20.5293
0.0000 1.9970 23.6330
1.7295 0.9985 1.6762
1.7295 0.9985 11.2095
1.7295 0.9985 14.5728
1.7295 0.9985 26.7940
```

Record 2
Structure and calculated PXRD pattern of Dy6YTm2Sc (a PBE-relaxed structure; Cu Kα X-rays).
No peak broadening, texture or thermal motion is included.

Top 10 peaks for 10 to 90 degrees two-theta, by angle:
2θ = 28.7°, I = 172; 2θ = 29.0°, I = 393; 2θ = 31.1°, I = 633; 2θ = 31.3°, I = 519; 2θ = 31.8°, I = 1000; 2θ = 32.1°, I = 334; 2θ = 32.9°, I = 223; 2θ = 34.7°, I = 470; 2θ = 38.3°, I = 186; 2θ = 55.0°, I = 163

Atomic structure:
```
Dy6YTm2Sc
1.0
4.4938 -7.4179 0.0000
4.4938 7.4179 0.0000
-1.1061 0.0000 9.2795
Dy Y Tm Sc
12 2 4 2
Cartesian
2.3536 4.1302 1.7594
3.3545 4.6535 5.1448
3.9739 4.6535 8.7745
3.1504 1.5895 3.5612
6.0809 4.1302 2.8804
5.2842 1.5895 1.0786
2.5973 -1.5895 8.2010
1.8006 -4.1302 6.3991
4.7311 -1.5895 5.7183
3.9076 -4.6535 0.5051
4.5270 -4.6535 4.1347
5.5278 -4.1302 7.5202
4.2173 7.0806 2.3199
3.6642 -7.0806 6.9597
2.2390 0.7916 0.4323
1.6859 -0.7916 5.0720
6.1955 0.7916 4.2075
5.6425 -0.7916 8.8473
3.6642 1.2708 6.9597
4.2173 -1.2708 2.3199
```

Record 3
Structure and calculated PXRD pattern of SbAsO6 (a PBE-relaxed structure; Cu Kα X-rays).
No peak broadening, texture or thermal motion is included.

Top 10 peaks for 10 to 90 degrees two-theta, by angle:
2θ = 24.1°, I = 1000; 2θ = 26.1°, I = 337; 2θ = 32.8°, I = 129; 2θ = 35.6°, I = 244; 2θ = 36.0°, I = 252; 2θ = 42.4°, I = 89; 2θ = 49.3°, I = 175; 2θ = 53.6°, I = 104; 2θ = 56.4°, I = 107; 2θ = 56.9°, I = 120

Atomic structure:
```
SbAsO6
1.0
8.4244 0.0000 0.0000
0.0000 5.4590 0.0000
-2.9429 0.0000 4.0745
Sb As O
2 2 12
Cartesian
0.0000 0.0000 0.0000
4.2122 2.7295 0.0000
-1.4715 2.7295 2.0373
2.7407 0.0000 2.0373
-0.3022 1.4090 1.4185
-0.3022 4.0500 1.4185
-0.6720 2.7295 3.6598
1.9413 0.0000 0.4148
1.5715 1.3205 2.6560
1.5715 4.1385 2.6560
3.9100 1.3205 1.4185
3.9100 4.1385 1.4185
3.5402 0.0000 3.6598
6.1535 2.7295 0.4148
5.7837 1.4090 2.6560
5.7837 4.0500 2.6560
```

Record 4
Structure and calculated PXRD pattern of CeTeClO4 (a PBE-relaxed structure; Cu Kα X-rays).
No peak broadening, texture or thermal motion is included.

Top 10 peaks for 10 to 90 degrees two-theta, by angle:
2θ = 12.9°, I = 378; 2θ = 17.4°, I = 483; 2θ = 24.3°, I = 1000; 2θ = 24.5°, I = 533; 2θ = 27.8°, I = 629; 2θ = 28.7°, I = 560; 2θ = 33.9°, I = 355; 2θ = 34.8°, I = 319; 2θ = 44.6°, I = 501; 2θ = 57.7°, I = 279

Atomic structure:
```
CeTeClO4
1.0
5.2885 -3.6646 0.0000
5.2885 3.6646 0.0000
-1.9662 0.0000 6.8624
Ce Te Cl O
2 2 2 8
Cartesian
2.1757 0.0000 0.8309
6.4351 0.0000 6.0315
2.4325 0.0000 4.9272
6.1783 0.0000 1.9352
-1.3691 0.0000 5.3447
9.9799 0.0000 1.5177
1.4888 1.3667 5.9116
1.9568 0.0000 3.0949
4.3226 0.0000 1.5340
1.4888 -1.3667 5.9116
7.1220 1.3667 0.9508
4.2882 0.0000 5.3284
6.6540 0.0000 3.7675
7.1220 -1.3667 0.9508
```

Record 5
Structure and calculated PXRD pattern of AcZn12Ni4 (a PBE-relaxed structure; Cu Kα X-rays).
No peak broadening, texture or thermal motion is included.

Top 10 peaks for 10 to 90 degrees two-theta, by angle:
2θ = 13.7°, I = 230; 2θ = 19.5°, I = 331; 2θ = 23.9°, I = 1000; 2θ = 31.0°, I = 404; 2θ = 34.1°, I = 611; 2θ = 39.5°, I = 867; 2θ = 42.1°, I = 438; 2θ = 55.2°, I = 520; 2θ = 57.2°, I = 445; 2θ = 76.9°, I = 245

Atomic structure:
```
AcZn12Ni4
1.0
-4.5576 4.5576 4.5576
4.5576 -4.5576 4.5576
4.5576 4.5576 -4.5576
Ac Zn Ni
1 12 4
Cartesian
0.0000 0.0000 0.0000
4.5576 2.0040 -2.0040
4.5576 -2.0040 2.0040
2.0040 4.5576 -2.0040
2.5535 2.5535 0.0000
2.5535 0.0000 2.5535
2.0040 -2.0040 4.5576
4.5576 2.0040 2.0040
0.0000 2.5535 2.5535
-2.0040 4.5576 2.0040
-2.0040 2.0040 4.5576
2.0040 4.5576 2.0040
2.0040 2.0040 4.5576
2.2788 2.2788 -2.2788
2.2788 -2.2788 2.2788
-2.2788 2.2788 2.2788
2.2788 2.2788 2.2788
```